Starting from DFT lattice parameters and positions (PBE), the powder X-ray diffraction pattern of Ac4PPdS2 was computed for copper Kα.
Lines closer than 0.1° are merged.

Main lines, by angle (10° ≤ 2θ ≤ 90°):
Position (°2θ), intensity, (hkl)
24.58, 18, 0 0 2
24.77, 18, 2 0 0
25.00, 35, 1 1 -1
28.76, 100, 1 1 1
41.02, 26, 1 1 -3
41.25, 25, 3 1 -1

Structure:
```
Ac4PPdS2
1.0
7.5962 0.0000 0.0000
0.0000 4.3502 0.0000
-2.4758 0.0000 7.2420
Ac P Pd S
4 1 1 2
Direct
0.2485 0.0000 0.2449
0.2490 0.5000 0.7521
0.7510 0.5000 0.2479
0.7515 0.0000 0.7551
0.0000 0.5000 0.0000
0.0000 0.0000 0.5000
0.5000 0.0000 0.0000
0.5000 0.5000 0.5000
```